Structure and computed XRD peak list of RbSmC2O6 (DFT lattice parameters and positions (GGA-PBE); Cu Kα (weighted mean of Kα1 and Kα2)).
Neutral-atom scattering factors, no anomalous dispersion.

Cell and atoms:
a = 6.5744 Å, b = 6.5744 Å, c = 7.3247 Å
α = 104.32°, β = 104.32°, γ = 94.85°
Positions (direct):
Rb (0.1142, 0.8858, 0.7500)
Rb (0.8858, 0.1142, 0.2500)
Sm (0.4041, 0.5959, 0.2500)
Sm (0.5959, 0.4041, 0.7500)
C (0.1488, 0.3962, 0.7520)
C (0.3962, 0.1488, 0.2520)
C (0.6038, 0.8512, 0.7480)
C (0.8512, 0.6038, 0.2480)
O (0.0486, 0.6014, 0.2625)
O (0.2155, 0.2654, 0.6237)
O (0.2654, 0.2155, 0.1237)
O (0.2974, 0.5313, 0.8970)
O (0.3986, 0.9514, 0.2375)
O (0.4687, 0.7026, 0.6030)
O (0.5313, 0.2974, 0.3970)
O (0.6014, 0.0486, 0.7625)
O (0.7026, 0.4687, 0.1030)
O (0.7346, 0.7845, 0.8763)
O (0.7845, 0.7346, 0.3763)
O (0.9514, 0.3986, 0.7375)

Principal peaks in the range 10° ≤ 2θ ≤ 90°, in order of rising 2θ:
- 14.07 deg, intensity 39
- 21.46 deg, intensity 36
- 22.52 deg, intensity 55
- 26.13 deg, intensity 69
- 27.73 deg, intensity 100
- 34.55 deg, intensity 36
- 42.09 deg, intensity 30
- 43.30 deg, intensity 20
- 44.02 deg, intensity 20
- 44.93 deg, intensity 19

Structure and computed XRD peak list of ReC5O5 (DFT lattice parameters and positions (GGA-PBE); Cu Kα (weighted mean of Kα1 and Kα2)).
Neutral-atom scattering factors, no anomalous dispersion.

Cell and atoms:
a = 9.8960 Å, b = 9.8960 Å, c = 15.2115 Å
α = 123.76°, β = 123.76°, γ = 43.75°
Positions (direct):
Re (0.1627, 0.6965, 0.7765)
Re (0.3035, 0.8373, 0.7235)
Re (0.6965, 0.1627, 0.2765)
Re (0.8373, 0.3035, 0.2235)
C (0.0156, 0.0356, 0.6528)
C (0.0356, 0.0156, 0.1528)
C (0.0359, 0.2683, 0.3711)
C (0.0788, 0.5952, 0.7999)
C (0.2683, 0.0359, 0.8711)
C (0.3146, 0.6299, 0.5786)
C (0.3701, 0.6854, 0.9214)
C (0.3771, 0.4167, 0.7077)
C (0.4048, 0.9212, 0.7001)
C (0.4167, 0.3771, 0.2077)
C (0.5833, 0.6229, 0.7923)
C (0.5952, 0.0788, 0.2999)
C (0.6229, 0.5833, 0.2923)
C (0.6299, 0.3146, 0.0786)
C (0.6854, 0.3701, 0.4214)
C (0.7317, 0.9641, 0.1289)
C (0.9212, 0.4048, 0.2001)
C (0.9641, 0.7317, 0.6289)
C (0.9644, 0.9844, 0.8472)
C (0.9844, 0.9644, 0.3472)
O (0.0278, 0.5327, 0.8122)
O (0.1473, 0.8504, 0.1080)
O (0.1496, 0.8527, 0.3920)
O (0.1510, 0.2471, 0.4565)
O (0.2471, 0.1510, 0.9565)
O (0.2550, 0.5033, 0.1698)
O (0.3155, 0.5125, 0.4938)
O (0.4673, 0.9722, 0.6878)
O (0.4875, 0.6845, 0.0062)
O (0.4967, 0.7450, 0.3302)
O (0.5033, 0.2550, 0.6698)
O (0.5125, 0.3155, 0.9938)
O (0.5327, 0.0278, 0.3122)
O (0.6845, 0.4875, 0.5062)
O (0.7450, 0.4967, 0.8302)
O (0.7529, 0.8490, 0.0435)
O (0.8490, 0.7529, 0.5435)
O (0.8504, 0.1473, 0.6080)
O (0.8527, 0.1496, 0.8920)
O (0.9722, 0.4673, 0.1878)

Principal peaks in the range 10° ≤ 2θ ≤ 90°, in order of rising 2θ:
- 12.05 deg, intensity 60
- 13.45 deg, intensity 100
- 14.54 deg, intensity 56
- 16.92 deg, intensity 77
- 24.14 deg, intensity 17
- 27.39 deg, intensity 22
- 28.30 deg, intensity 27
- 28.75 deg, intensity 37
- 30.12 deg, intensity 40
- 38.95 deg, intensity 18